Li2Pt: calculated X-ray diffraction stick pattern (copper Kα), based on a GGA-PBE-relaxed structure.
Lines closer than 0.1° are merged.

The 10 most intense peaks (2θ from 15° to 90°), in order of falling intensity:
2θ (°)	I/Imax	index
41.1	100	0 1 3
30.3	84	1 1 1
20.3	77	1 0 1
28.2	56	1 0 2
25.0	44	0 1 1
36.3	40	1 1 2
48.9	30	2 0 3
86.0	23	2 1 6
69.0	21	2 2 3
54.4	20	1 2 2

Structural model:
```
Li2Pt
1.0
5.2672 0.0000 0.0000
0.0000 3.9870 0.0000
0.0000 0.0000 7.9070
Li Pt
8 4
Direct
0.1003 0.2500 0.2420
0.1414 0.2500 0.5794
0.3586 0.7500 0.0794
0.3997 0.7500 0.7420
0.6003 0.2500 0.2580
0.6414 0.2500 0.9206
0.8586 0.7500 0.4206
0.8997 0.7500 0.7580
0.1398 0.2500 0.9113
0.3602 0.7500 0.4113
0.6398 0.2500 0.5887
0.8602 0.7500 0.0887
```